1.
Calculated X-ray diffraction stick pattern of ReB4W for Cu Ka, from a cell relaxed with GGA-PBE.

Top 8 peaks for 2θ = 5–70°, by intensity:
Position (°2θ), I (rel.)
43.83, 100
34.81, 79
25.79, 51
65.01, 27
68.73, 14
62.46, 12
53.02, 10
68.59, 7

Atomic structure:
Cell lengths 2.9802, 5.1470, 6.9080 Å; angles 90.00, 90.00, 90.00 degrees
Atoms (fractional coordinates):
Re: 0.0000 0.0000 0.0000
Re: 0.5000 0.5000 0.5000
B: 0.0000 0.3326 0.2486
B: 0.0000 0.3326 0.7514
B: 0.0000 0.6674 0.2486
B: 0.0000 0.6674 0.7514
B: 0.5000 0.1674 0.2514
B: 0.5000 0.1674 0.7486
B: 0.5000 0.8326 0.2514
B: 0.5000 0.8326 0.7486
W: 0.0000 0.0000 0.5000
W: 0.5000 0.5000 0.0000

***

2.
Calculated X-ray diffraction stick pattern of Y3ReB7 for Cu Ka, from a cell relaxed with GGA-PBE.

Top 8 peaks for 2θ = 5–70°, by intensity:
Position (°2θ), I (rel.)
25.82, 100
39.44, 71
38.93, 62
30.83, 57
29.60, 48
11.20, 46
42.29, 34
48.43, 32

Atomic structure:
Cell lengths 8.0937, 8.0937, 9.3554 Å; angles 90.00, 90.00, 154.77 degrees
Atoms (fractional coordinates):
Y: 0.1053 0.8947 0.5601
Y: 0.1053 0.8947 0.9399
Y: 0.2422 0.7578 0.2500
Y: 0.7578 0.2422 0.7500
Y: 0.8947 0.1053 0.0601
Y: 0.8947 0.1053 0.4399
Re: 0.0531 0.9469 0.2500
Re: 0.9469 0.0531 0.7500
B: 0.2731 0.7269 0.5335
B: 0.2731 0.7269 0.9665
B: 0.3681 0.6319 0.6505
B: 0.3681 0.6319 0.8495
B: 0.4574 0.5426 0.2500
B: 0.4794 0.5206 0.5953
B: 0.4794 0.5206 0.9047
B: 0.5206 0.4794 0.0953
B: 0.5206 0.4794 0.4047
B: 0.5426 0.4574 0.7500
B: 0.6319 0.3681 0.1505
B: 0.6319 0.3681 0.3495
B: 0.7269 0.2731 0.0335
B: 0.7269 0.2731 0.4665

***

3.
Calculated X-ray diffraction stick pattern of Zr9Re4B for Cu Ka, from a cell relaxed with GGA-PBE.

Top 8 peaks for 2θ = 5–70°, by intensity:
Position (°2θ), I (rel.)
12.03, 100
38.45, 93
38.13, 68
65.96, 39
39.65, 33
33.30, 17
67.17, 16
41.66, 16

Atomic structure:
Cell lengths 8.4973, 8.4973, 8.6726 Å; angles 90.00, 90.00, 120.00 degrees
Atoms (fractional coordinates):
Zr: 0.0786 0.5393 0.2500
Zr: 0.2015 0.4029 0.5551
Zr: 0.2015 0.4029 0.9449
Zr: 0.2015 0.7985 0.5551
Zr: 0.2015 0.7985 0.9449
Zr: 0.4029 0.2015 0.0551
Zr: 0.4029 0.2015 0.4449
Zr: 0.4607 0.5393 0.2500
Zr: 0.4607 0.9214 0.2500
Zr: 0.5393 0.0786 0.7500
Zr: 0.5393 0.4607 0.7500
Zr: 0.5971 0.7985 0.5551
Zr: 0.5971 0.7985 0.9449
Zr: 0.7985 0.2015 0.0551
Zr: 0.7985 0.2015 0.4449
Zr: 0.7985 0.5971 0.0551
Zr: 0.7985 0.5971 0.4449
Zr: 0.9214 0.4607 0.7500
Re: 0.0000 0.0000 0.0000
Re: 0.0000 0.0000 0.5000
Re: 0.1076 0.2152 0.2500
Re: 0.1076 0.8924 0.2500
Re: 0.2152 0.1076 0.7500
Re: 0.7848 0.8924 0.2500
Re: 0.8924 0.1076 0.7500
Re: 0.8924 0.7848 0.7500
B: 0.3333 0.6667 0.7500
B: 0.6667 0.3333 0.2500

***

4.
Calculated X-ray diffraction stick pattern of SmBS3 for Cu Ka, from a cell relaxed with GGA-PBE.

Top 8 peaks for 2θ = 5–70°, by intensity:
Position (°2θ), I (rel.)
35.87, 100
21.41, 97
26.02, 92
18.91, 72
33.51, 71
40.66, 67
20.00, 67
38.91, 51

Atomic structure:
Cell lengths 7.4230, 6.0578, 8.8811 Å; angles 90.00, 90.00, 90.00 degrees
Atoms (fractional coordinates):
Sm: 0.1180 0.0623 0.0000
Sm: 0.3820 0.5623 0.5000
Sm: 0.6180 0.4377 0.0000
Sm: 0.8820 0.9377 0.5000
B: 0.1453 0.5989 0.1700
B: 0.3547 0.0989 0.6700
B: 0.6453 0.9011 0.1700
B: 0.8547 0.4011 0.6700
S: 0.0021 0.3898 0.5086
S: 0.1743 0.8319 0.2980
S: 0.2038 0.8647 0.6995
S: 0.2962 0.3647 0.1995
S: 0.3257 0.3319 0.7980
S: 0.4979 0.8898 0.0086
S: 0.5021 0.1102 0.5086
S: 0.6743 0.6681 0.2980
S: 0.7038 0.6353 0.6995
S: 0.7962 0.1353 0.1995
S: 0.8257 0.1681 0.7980
S: 0.9979 0.6102 0.0086

***

5.
Calculated X-ray diffraction stick pattern of Ta4B3S for Cu Ka, from a cell relaxed with GGA-PBE.

Top 8 peaks for 2θ = 5–70°, by intensity:
Position (°2θ), I (rel.)
32.32, 100
39.86, 94
37.42, 54
55.66, 45
65.84, 37
33.60, 35
59.57, 20
35.31, 15

Atomic structure:
Cell lengths 3.3026, 3.3026, 22.1706 Å; angles 90.00, 90.00, 120.00 degrees
Atoms (fractional coordinates):
Ta: 0.0000 0.0000 0.1711
Ta: 0.0000 0.0000 0.3289
Ta: 0.0000 0.0000 0.6711
Ta: 0.0000 0.0000 0.8289
Ta: 0.3333 0.6667 0.0580
Ta: 0.3333 0.6667 0.4420
Ta: 0.6667 0.3333 0.5580
Ta: 0.6667 0.3333 0.9420
B: 0.0000 0.0000 0.0000
B: 0.0000 0.0000 0.5000
B: 0.3333 0.6667 0.6176
B: 0.3333 0.6667 0.8824
B: 0.6667 0.3333 0.1176
B: 0.6667 0.3333 0.3824
S: 0.3333 0.6667 0.2500
S: 0.6667 0.3333 0.7500

***

6.
Calculated X-ray diffraction stick pattern of Zn4B6S13 for Cu Ka, from a cell relaxed with GGA-PBE.

Top 8 peaks for 2θ = 5–70°, by intensity:
Position (°2θ), I (rel.)
23.26, 100
35.86, 35
40.87, 34
38.43, 32
55.48, 26
53.58, 15
49.62, 14
60.96, 11

Atomic structure:
Cell lengths 8.1137, 8.1137, 8.1137 Å; angles 109.47, 109.47, 109.47 degrees
Atoms (fractional coordinates):
Zn: 0.0000 0.0000 0.7060
Zn: 0.0000 0.7060 0.0000
Zn: 0.2940 0.2940 0.2940
Zn: 0.7060 0.0000 0.0000
B: 0.2500 0.5000 0.7500
B: 0.2500 0.7500 0.5000
B: 0.5000 0.2500 0.7500
B: 0.5000 0.7500 0.2500
B: 0.7500 0.2500 0.5000
B: 0.7500 0.5000 0.2500
S: 0.0000 0.0000 0.0000
S: 0.0000 0.4579 0.7426
S: 0.0000 0.7426 0.4579
S: 0.2574 0.2574 0.7153
S: 0.2574 0.7153 0.2574
S: 0.2847 0.5421 0.5421
S: 0.4579 0.0000 0.7426
S: 0.4579 0.7426 0.0000
S: 0.5421 0.2847 0.5421
S: 0.5421 0.5421 0.2847
S: 0.7153 0.2574 0.2574
S: 0.7426 0.0000 0.4579
S: 0.7426 0.4579 0.0000

***

What did the second record say?
Calculated X-ray diffraction stick pattern of Y3ReB7 for Cu Ka, from a cell relaxed with GGA-PBE.

Top 8 peaks for 2θ = 5–70°, by intensity:
Position (°2θ), I (rel.)
25.82, 100
39.44, 71
38.93, 62
30.83, 57
29.60, 48
11.20, 46
42.29, 34
48.43, 32

Atomic structure:
Cell lengths 8.0937, 8.0937, 9.3554 Å; angles 90.00, 90.00, 154.77 degrees
Atoms (fractional coordinates):
Y: 0.1053 0.8947 0.5601
Y: 0.1053 0.8947 0.9399
Y: 0.2422 0.7578 0.2500
Y: 0.7578 0.2422 0.7500
Y: 0.8947 0.1053 0.0601
Y: 0.8947 0.1053 0.4399
Re: 0.0531 0.9469 0.2500
Re: 0.9469 0.0531 0.7500
B: 0.2731 0.7269 0.5335
B: 0.2731 0.7269 0.9665
B: 0.3681 0.6319 0.6505
B: 0.3681 0.6319 0.8495
B: 0.4574 0.5426 0.2500
B: 0.4794 0.5206 0.5953
B: 0.4794 0.5206 0.9047
B: 0.5206 0.4794 0.0953
B: 0.5206 0.4794 0.4047
B: 0.5426 0.4574 0.7500
B: 0.6319 0.3681 0.1505
B: 0.6319 0.3681 0.3495
B: 0.7269 0.2731 0.0335
B: 0.7269 0.2731 0.4665